The following is a theoretical powder X-ray diffraction pattern of Ba3Co. It was derived from a cell relaxed with PBE, using Cu Kα.
Lines closer than 0.1° are merged.

Structure:
a = 11.535 Å, b = 11.535 Å, c = 11.535 Å
α = 22.34°, β = 22.34°, γ = 22.34°
Fractional coordinates of all 4 atoms:
Ba 0.000 0.000 0.000
Ba 0.218 0.218 0.218
Ba 0.782 0.782 0.782
Co 0.500 0.500 0.500

Main lines, in order of rising 2θ (5 to 70 degrees two-theta):
- 7.9°, intensity 21
- 23.7°, intensity 29
- 25.3°, intensity 100
- 26.6°, intensity 52
- 29.6°, intensity 17
- 35.3°, intensity 26
- 40.4°, intensity 42
- 44.3°, intensity 30
- 47.4°, intensity 27
- 65.0°, intensity 18

The following is a theoretical powder X-ray diffraction pattern of Ba4Co3. It was derived from a cell relaxed with PBE, using Cu Kα.
Lines closer than 0.1° are merged.

Structure:
a = 5.125 Å, b = 5.125 Å, c = 11.017 Å
α = 90.00°, β = 90.00°, γ = 120.00°
Fractional coordinates of all 7 atoms:
Ba 0.000 0.000 0.184
Ba 0.000 0.000 0.816
Ba 0.333 0.667 0.500
Ba 0.667 0.333 0.500
Co 0.000 0.500 0.000
Co 0.500 0.000 0.000
Co 0.500 0.500 0.000

Main lines, in order of rising 2θ (5 to 70 degrees two-theta):
- 16.1°, intensity 28
- 21.6°, intensity 34
- 24.2°, intensity 15
- 25.8°, intensity 100
- 35.0°, intensity 35
- 41.5°, intensity 36
- 43.0°, intensity 60
- 57.4°, intensity 21
- 59.1°, intensity 21
- 68.4°, intensity 15

The following is a theoretical powder X-ray diffraction pattern of BaCo2. It was derived from a cell relaxed with PBE, using Cu Kα.
Lines closer than 0.1° are merged.

Structure:
a = 3.430 Å, b = 3.430 Å, c = 5.488 Å
α = 90.00°, β = 90.00°, γ = 90.00°
Fractional coordinates of all 3 atoms:
Ba 0.000 0.000 0.000
Co 0.000 0.500 0.500
Co 0.500 0.000 0.500

Main lines, in order of rising 2θ (5 to 70 degrees two-theta):
- 26.0°, intensity 44
- 30.7°, intensity 57
- 32.6°, intensity 47
- 40.7°, intensity 100
- 42.2°, intensity 24
- 53.4°, intensity 22
- 57.1°, intensity 10
- 62.9°, intensity 15
- 63.7°, intensity 25
- 64.0°, intensity 25

The following is a theoretical powder X-ray diffraction pattern of Ba2Co3. It was derived from a cell relaxed with PBE, using Cu Kα.
Lines closer than 0.1° are merged.

Structure:
a = 4.140 Å, b = 4.140 Å, c = 9.575 Å
α = 90.00°, β = 90.00°, γ = 120.00°
Fractional coordinates of all 5 atoms:
Ba 0.333 0.667 0.224
Ba 0.667 0.333 0.776
Co 0.000 0.000 0.500
Co 0.333 0.667 0.532
Co 0.667 0.333 0.468

Main lines, in order of rising 2θ (5 to 70 degrees two-theta):
- 9.2°, intensity 95
- 24.8°, intensity 25
- 26.5°, intensity 100
- 28.0°, intensity 29
- 31.2°, intensity 48
- 37.6°, intensity 20
- 37.7°, intensity 67
- 43.7°, intensity 62
- 52.7°, intensity 28
- 59.0°, intensity 31

The following is a theoretical powder X-ray diffraction pattern of Ba3Co. It was derived from a cell relaxed with PBE, using Cu Kα.
Lines closer than 0.1° are merged.

Structure:
a = 7.671 Å, b = 7.671 Å, c = 4.407 Å
α = 90.00°, β = 90.00°, γ = 131.65°
Fractional coordinates of all 4 atoms:
Ba 0.000 0.000 0.000
Ba 0.353 0.647 0.500
Ba 0.647 0.353 0.500
Co 0.500 0.500 0.000

Main lines, in order of rising 2θ (5 to 70 degrees two-theta):
- 12.6°, intensity 33
- 23.8°, intensity 100
- 23.9°, intensity 71
- 25.5°, intensity 89
- 28.4°, intensity 68
- 32.7°, intensity 79
- 37.4°, intensity 44
- 43.8°, intensity 69
- 48.6°, intensity 37
- 52.3°, intensity 34